# Li7Ti12O24
Theoretical X-ray diffraction stick pattern, Cu Kα (weighted mean of Kα1 and Kα2). Input: a DFT-relaxed cell (PBE, the Materials Project).

Atomic structure:
Lattice parameters (Å, degrees): 4.019 3.999 26.163 90.00 90.05 90.00
Space group Pm (No. 6)
Unique sites:
Li: 0.000 0.000 0.000 x1
Li: 0.000 0.000 0.328 x1
Li: 0.000 0.500 0.585 x1
Li: 0.501 0.000 0.417 x1
Li: 0.501 0.000 0.748 x1
Li: 0.502 0.500 0.165 x1
Li: 0.502 0.500 0.833 x1
Ti: 0.000 0.000 0.167 x1
Ti: 0.000 0.000 0.498 x1
Ti: 0.001 0.500 0.419 x1
Ti: 0.001 0.500 0.741 x1
Ti: 0.002 0.000 0.836 x1
Ti: 0.028 0.500 0.081 x1
Ti: 0.500 0.000 0.247 x1
Ti: 0.500 0.000 0.576 x1
Ti: 0.500 0.500 0.325 x1
Ti: 0.500 0.500 0.665 x1
Ti: 0.502 0.000 0.914 x1
Ti: 0.502 0.500 0.992 x1
O: 0.000 0.000 0.244 x1
O: 0.000 0.000 0.575 x1
O: 0.000 0.500 0.004 x1
O: 0.000 0.500 0.495 x1
O: 0.000 0.500 0.667 x1
O: 0.001 0.000 0.418 x1
O: 0.001 0.000 0.754 x1
O: 0.001 0.500 0.338 x1
O: 0.001 0.500 0.823 x1
O: 0.002 0.000 0.912 x1
O: 0.491 0.500 0.072 x1
O: 0.499 0.000 0.169 x1
O: 0.500 0.000 0.500 x1
O: 0.500 0.000 0.657 x1
O: 0.500 0.500 0.249 x1
O: 0.500 0.500 0.587 x1
O: 0.501 0.000 0.326 x1
O: 0.501 0.000 0.834 x1
O: 0.501 0.000 0.991 x1
O: 0.501 0.500 0.406 x1
O: 0.501 0.500 0.743 x1
O: 0.501 0.500 0.916 x1
O: 0.998 0.500 0.157 x1
O: 0.999 0.000 0.088 x1

Peak list (10 most intense, 10 to 90 degrees two-theta, in order of falling intensity)
(0 1 3), 2θ = 24.49°, intensity 100.0
(1 0 3), 2θ = 24.39°, intensity 97.0
(0 0 12), 2θ = 41.41°, intensity 59.4
(2 0 0), 2θ = 45.12°, intensity 49.7
(0 2 0), 2θ = 45.36°, intensity 49.1
(1 0 -9), 2θ = 38.24°, intensity 29.2
(2 0 -12), 2θ = 62.90°, intensity 27.4
(0 2 12), 2θ = 63.09°, intensity 27.3
(2 2 0), 2θ = 65.90°, intensity 25.9
(2 2 -12), 2θ = 80.90°, intensity 23.4